Structure and calculated XRD peak list of TlInW2 (the PBE geometry in Alexandria; Cu Kα).
Intensities are scaled so that the largest is 100.

Main lines, in order of rising 2θ (2θ from 10° to 90°):
d = 8.534 Å, I 63.8, hkl 0 0 1
d = 2.778 Å, I 20.9, hkl 1 0 1
d = 2.540 Å, I 100.0, hkl 0 1 2
d = 2.334 Å, I 43.8, hkl 1 0 2
d = 2.303 Å, I 38.5, hkl 1 0 -3
d = 2.218 Å, I 42.7, hkl 1 1 0
d = 2.212 Å, I 54.8, hkl 1 1 -1
d = 2.114 Å, I 21.1, hkl 0 1 3
d = 1.580 Å, I 29.3, hkl 0 2 0
d = 1.453 Å, I 19.7, hkl 1 1 4

a b c (Å): 3.159 3.160 8.659
angles (deg): 90.00 99.72 90.00
Atoms (fractional coordinates):
1 Tl 0.000 0.000 0.000
2 In 0.151 0.500 0.334
3 W 0.404 0.500 0.740
4 W 0.748 0.000 0.571